The following is a theoretical powder X-ray diffraction pattern of Cr5Cu2P6O24. It was derived from a DFT-relaxed cell (GGA+U, the Materials Project), using Cu Kα, 1.54184 Å.
No peak broadening, texture or thermal motion is included.

The 12 most intense peaks (10 to 80 degrees two-theta), sorted by position:
2theta, I (rel.)
12.90, 19
18.71, 21
20.47, 27
28.37, 18
28.80, 30
29.77, 19
30.03, 100
30.11, 60
31.99, 16
34.15, 20
35.24, 22
57.80, 17

Cell and atoms:
```
Cr5Cu2P6O24
1.0
6.334 0.000 0.000
-1.602 7.859 0.000
-2.897 -3.230 8.298
Cr Cu P O
5 2 6 24
Cartesian
0.000 0.000 0.000
-2.338 3.927 4.328
1.349 3.267 0.914
0.486 1.363 7.384
4.173 0.703 3.970
-0.315 5.539 2.475
2.151 -0.910 5.823
-2.777 2.026 6.933
-1.050 -1.335 6.342
1.045 0.698 3.023
0.790 3.932 5.275
2.885 5.965 1.956
4.612 2.604 1.364
-2.146 -0.654 5.460
-2.316 2.220 5.447
-0.556 3.618 1.303
-3.142 3.328 7.609
-2.250 5.172 5.822
-1.669 -1.524 7.805
-0.228 0.769 3.850
0.920 -0.395 1.872
-1.543 1.327 7.634
-0.340 4.292 4.254
1.425 2.001 2.333
0.216 -0.418 6.389
1.620 5.048 1.909
0.410 2.629 5.964
2.175 0.338 4.044
3.378 3.302 0.663
0.915 5.025 6.426
2.064 3.861 4.447
3.505 6.154 0.493
4.085 -0.542 2.476
4.977 1.302 0.688
2.391 1.012 6.995
4.151 2.409 2.851
3.981 5.284 2.838
```



The following is a theoretical powder X-ray diffraction pattern of Li3V2P3O12. It was derived from a DFT-relaxed cell (GGA+U, the Materials Project), using Cu Kα, 1.54184 Å.
No peak broadening, texture or thermal motion is included.

The 12 most intense peaks (10 to 80 degrees two-theta), sorted by position:
2theta, I (rel.)
14.34, 61
19.72, 63
24.03, 100
28.92, 41
31.62, 61
32.48, 17
36.69, 17
38.62, 18
49.20, 14
51.90, 18
56.97, 12
60.99, 14

Cell and atoms:
```
Li3V2P3O12
1.0
4.242 2.449 7.596
-4.242 2.449 7.596
0.000 -4.899 7.596
Li V P O
6 4 6 24
Cartesian
-1.076 -2.321 10.275
-2.548 -0.228 12.512
-1.472 2.092 10.275
1.472 -2.092 12.512
2.548 0.228 10.275
1.076 2.321 12.512
0.000 0.000 3.410
0.000 0.000 8.093
0.000 0.000 14.694
0.000 0.000 19.377
-2.994 -0.326 9.498
-1.215 -2.756 13.289
1.779 -2.430 9.498
-1.779 2.430 13.289
1.215 2.756 9.498
2.994 0.326 13.289
-4.059 0.738 9.895
-2.669 -3.146 12.892
-2.827 -1.360 10.694
-0.860 -1.398 6.961
-1.610 0.360 9.358
-0.236 -3.129 12.093
-0.781 1.444 6.961
1.390 -3.884 9.895
-2.592 1.768 12.093
0.493 -1.574 9.358
-1.117 -1.214 13.429
1.641 -0.046 6.961
-1.641 0.046 15.826
1.117 1.214 9.358
-0.493 1.574 13.429
2.592 -1.768 10.694
-1.390 3.884 12.892
0.781 -1.444 15.826
0.236 3.129 10.694
1.610 -0.360 13.429
0.860 1.398 15.826
2.827 1.360 12.093
2.669 3.146 9.895
4.059 -0.738 12.892
```



The following is a theoretical powder X-ray diffraction pattern of Li5Fe8B8O24. It was derived from a DFT-relaxed cell (GGA+U, the Materials Project), using Cu Kα, 1.54184 Å.
No peak broadening, texture or thermal motion is included.

The 12 most intense peaks (10 to 80 degrees two-theta), sorted by position:
2theta, I (rel.)
19.51, 39
19.58, 66
21.46, 95
21.58, 45
26.01, 65
26.53, 23
34.11, 67
34.30, 32
35.18, 100
40.56, 28
40.77, 26
54.19, 23

Cell and atoms:
```
Li5Fe8B8O24
1.0
5.230 0.000 0.000
0.010 9.123 0.000
2.492 4.395 10.204
Li Fe B O
5 8 8 24
Cartesian
0.000 0.000 0.000
0.894 1.367 2.531
2.509 4.612 5.166
3.500 5.956 2.592
5.889 10.434 7.697
2.533 10.437 9.905
0.898 4.397 2.158
2.593 7.621 4.804
3.320 12.095 7.399
5.011 6.010 9.852
3.493 9.030 2.260
5.123 2.951 4.779
5.940 7.368 7.311
0.861 7.519 2.152
2.572 10.621 4.699
3.344 8.988 7.371
5.157 12.048 9.865
3.447 2.969 2.274
5.155 5.924 4.819
5.970 4.415 7.266
7.629 7.392 9.825
1.202 10.715 4.578
2.096 4.466 7.152
0.467 4.201 0.080
3.049 6.215 10.008
2.694 10.153 7.851
2.544 7.969 6.909
3.763 11.990 9.613
2.168 7.408 2.586
3.263 2.627 5.170
3.236 9.480 4.351
2.858 4.197 2.290
2.765 1.833 1.854
3.807 5.981 4.583
4.713 8.904 7.354
3.249 8.821 0.065
5.245 5.529 7.667
5.918 10.912 9.638
5.302 3.204 6.895
6.358 7.444 9.264
4.790 2.850 2.720
5.901 6.963 5.328
5.858 4.731 4.467
5.378 6.351 1.756
5.467 8.742 2.046
```



The following is a theoretical powder X-ray diffraction pattern of LiV2C2O8. It was derived from a DFT-relaxed cell (GGA+U, the Materials Project), using Cu Kα, 1.54184 Å.
No peak broadening, texture or thermal motion is included.

The 12 most intense peaks (10 to 80 degrees two-theta), sorted by position:
2theta, I (rel.)
13.26, 100
18.74, 32
21.07, 51
29.93, 39
34.05, 25
34.21, 37
34.55, 26
39.19, 11
40.51, 13
42.75, 16
56.58, 11
58.74, 12

Cell and atoms:
```
LiV2C2O8
1.0
6.288 0.000 0.000
0.000 9.469 0.000
-6.143 0.000 9.416
Li V C O
4 8 8 32
Cartesian
-2.239 1.777 3.789
-5.311 2.958 8.496
5.455 6.511 0.919
2.383 7.693 5.627
-2.280 5.390 3.648
-5.351 8.814 8.355
0.862 5.260 3.442
-2.210 8.944 8.150
2.354 0.525 1.266
-0.717 4.210 5.974
5.496 0.656 1.060
2.424 4.079 5.768
-3.867 1.278 6.227
-0.795 3.456 1.519
-2.259 6.035 7.831
0.813 8.168 3.124
-0.668 1.301 6.292
2.404 3.434 1.584
0.940 6.013 7.896
4.012 8.191 3.189
-5.464 5.948 9.117
-2.392 8.256 4.409
-0.863 2.316 2.189
-3.935 2.419 6.897
-3.908 0.150 6.991
-0.837 4.585 2.283
0.724 1.054 0.079
-2.348 3.681 4.787
-2.315 4.961 6.972
0.757 9.243 2.264
-0.757 5.723 4.599
-3.828 8.481 9.307
0.632 7.017 2.517
-2.440 7.187 7.225
-0.872 1.141 5.096
2.199 3.593 0.388
-2.055 5.876 9.027
1.017 8.328 4.319
2.584 2.282 2.191
-0.487 2.452 6.899
3.973 0.988 0.109
0.901 3.747 4.816
-0.612 0.226 7.151
2.459 4.509 2.444
2.493 5.788 4.629
-0.579 8.416 9.337
0.981 4.884 7.132
4.053 9.320 2.424
4.079 7.051 2.518
1.008 7.153 7.226
2.537 1.213 5.006
5.609 3.521 0.299
```